This entry pairs a crystal structure of Dy3Ga6Pd20 with its computed X-ray powder pattern. Radiation: copper Kα. Structure: a cell relaxed with PBE.

Atomic structure:
```
data_Dy3Ga6Pd20
_chemical_formula_sum 'Dy12 Ga24 Pd80'
_cell_length_a 12.4889
_cell_length_b 12.4889
_cell_length_c 12.4889
_cell_angle_alpha 90.00
_cell_angle_beta 90.00
_cell_angle_gamma 90.00
_symmetry_space_group_name_H-M 'F m -3 m'
_symmetry_Int_Tables_number 225
_symmetry_space_group_name_Hall '-F 4 2 3'
loop_
_atom_site_label
_atom_site_fract_x
_atom_site_fract_y
_atom_site_fract_z
Dy1 0.0000 0.0000 0.0000
Dy2 0.2500 0.2500 0.2500
Ga1 0.0000 0.0000 0.2740
Pd1 0.0000 0.1718 0.1718
Pd2 0.1220 0.1220 0.3780
```

The 6 most intense peaks (5° ≤ 2θ ≤ 70°), by angle:
2θ/deg, I_rel
35.2, 28
37.4, 100
40.9, 49
42.8, 25
48.3, 21
63.2, 25